The following is a theoretical powder diffractogram of LuIn2Tc. It was derived from a GGA-PBE-relaxed structure, using Cu Kα (weighted mean of Kα1 and Kα2).

Structural model:
```
data_LuIn2Tc
_chemical_formula_sum 'Lu1 In2 Tc1'
_symmetry_space_group_name_H-M 'P 1'
_symmetry_Int_Tables_number 1
_cell_length_a 4.877
_cell_length_b 4.877
_cell_length_c 4.877
_cell_angle_alpha 60.00
_cell_angle_beta 60.00
_cell_angle_gamma 60.00
loop_
_symmetry_equiv_pos_as_xyz
'x,y,z'
loop_
_atom_site_label
_atom_site_fract_x
_atom_site_fract_y
_atom_site_fract_z
Lu1 0.000 0.000 0.000
In1 0.250 0.250 0.250
In2 0.500 0.500 0.500
Tc1 0.750 0.750 0.750
```

Principal peaks in the range 2θ from 5° to 70°, low angle first:
| d_spacing | I_rel |
| --- | --- |
| 3.982 | 3 |
| 3.449 | 2 |
| 2.438 | 100 |
| 2.080 | 2 |
| 1.991 | 1 |
| 1.724 | 17 |
| 1.582 | 1 |
| 1.542 | 1 |
| 1.408 | 35 |

***

The following is a theoretical powder diffractogram of CuRe3Ge5. It was derived from a GGA-PBE-relaxed structure, using Cu Kα (weighted mean of Kα1 and Kα2).

Structural model:
```
data_CuRe3Ge5
_chemical_formula_sum 'Cu1 Re3 Ge5'
_symmetry_space_group_name_H-M 'P 1'
_symmetry_Int_Tables_number 1
_cell_length_a 5.159
_cell_length_b 5.159
_cell_length_c 7.518
_cell_angle_alpha 90.00
_cell_angle_beta 90.00
_cell_angle_gamma 120.00
loop_
_symmetry_equiv_pos_as_xyz
'x,y,z'
loop_
_atom_site_label
_atom_site_fract_x
_atom_site_fract_y
_atom_site_fract_z
Cu1 0.000 0.000 0.000
Re1 0.000 0.500 0.500
Re2 0.500 0.000 0.500
Re3 0.500 0.500 0.500
Ge1 0.000 0.000 0.500
Ge2 0.333 0.667 0.193
Ge3 0.333 0.667 0.807
Ge4 0.667 0.333 0.193
Ge5 0.667 0.333 0.807
```

Principal peaks in the range 2θ from 5° to 70°, low angle first:
| d_spacing | I_rel |
| --- | --- |
| 7.518 | 100 |
| 4.467 | 17 |
| 3.759 | 22 |
| 2.506 | 24 |
| 2.440 | 16 |
| 2.234 | 23 |
| 2.186 | 14 |
| 2.141 | 51 |
| 1.920 | 64 |
| 1.438 | 17 |